Starting from DFT lattice parameters and positions (PBE), the powder diffraction line list of AcPr6DyEr2 was calculated for copper Kα.
Intensities are scaled so that the largest is 100.

Cell and atoms:
abc: 9.4881 15.4920 9.8132
angles: 90.00 96.08 90.00
Space group C2/c (No. 15)
Symmetry-distinct sites (fractional):
1 Ac 0.0000 0.0298 0.2500 [4 per cell]
2 Pr 0.0628 0.1809 0.9463 [8 per cell]
3 Pr 0.0973 0.3900 0.1178 [8 per cell]
4 Pr 0.2214 0.2262 0.3167 [8 per cell]
5 Dy 0.0000 0.4124 0.7500 [4 per cell]
6 Er 0.2421 0.4477 0.4515 [8 per cell]

The 12 most intense peaks (2θ from 10° to 90°), sorted by position:
27.40 deg, rel. 46, hkl 2 2 -2; 27.54 deg, rel. 72, hkl 1 3 2; 29.47 deg, rel. 80, hkl 3 1 -1; 29.80 deg, rel. 90, hkl 0 2 3; 30.01 deg, rel. 100, hkl 2 2 2; 30.36 deg, rel. 61, hkl 1 5 0; 30.64 deg, rel. 63, hkl 2 4 -1; 31.45 deg, rel. 42, hkl 1 5 -1; 33.08 deg, rel. 55, hkl 1 3 -3; 33.81 deg, rel. 28, hkl 2 2 -3; 36.03 deg, rel. 32, hkl 3 1 2; 57.09 deg, rel. 26, hkl 4 0 4


Starting from DFT lattice parameters and positions (PBE), the powder diffraction line list of Ag3Cl2F was calculated for copper Kα.
Intensities are scaled so that the largest is 100.

Cell and atoms:
abc: 11.8709 6.8807 6.0465
angles: 90.00 90.00 90.00
Space group Cmc2_1 (No. 36)
Symmetry-distinct sites (fractional):
1 Ag 0.0000 0.0486 0.0000 [4 per cell]
2 Ag 0.1517 0.4734 0.6026 [8 per cell]
3 Cl 0.1607 0.1759 0.3148 [8 per cell]
4 F 0.0000 0.3707 0.8615 [4 per cell]

The 12 most intense peaks (2θ from 10° to 90°), sorted by position:
25.95 deg, rel. 100, hkl 3 1 0; 29.55 deg, rel. 12, hkl 0 0 2; 29.92 deg, rel. 29, hkl 0 2 1; 33.24 deg, rel. 26, hkl 1 1 2; 39.73 deg, rel. 81, hkl 3 1 2; 42.67 deg, rel. 12, hkl 4 0 2; 45.72 deg, rel. 22, hkl 3 3 0; 45.87 deg, rel. 14, hkl 6 0 0; 48.27 deg, rel. 11, hkl 3 3 1; 50.59 deg, rel. 13, hkl 4 2 2; 62.23 deg, rel. 10, hkl 6 2 2; 63.50 deg, rel. 9, hkl 1 1 4


Starting from DFT lattice parameters and positions (PBE), the powder diffraction line list of KCuCO3F was calculated for copper Kα.
Intensities are scaled so that the largest is 100.

Cell and atoms:
abc: 4.0227 5.2450 9.0272
angles: 90.00 90.00 90.00
Space group Pmc2_1 (No. 26)
Symmetry-distinct sites (fractional):
1 K 0.0000 0.2000 0.0000 [2 per cell]
2 Cu 0.5000 0.3022 0.6542 [2 per cell]
3 C 0.5000 0.2891 0.3371 [2 per cell]
4 O 0.5000 0.1567 0.4598 [2 per cell]
5 O 0.5000 0.1753 0.2129 [2 per cell]
6 O 0.5000 0.4611 0.8470 [2 per cell]
7 F 0.0000 0.3123 0.6516 [2 per cell]

The 12 most intense peaks (2θ from 10° to 90°), sorted by position:
19.61 deg, rel. 60, hkl 0 0 2; 22.10 deg, rel. 30, hkl 1 0 0; 29.70 deg, rel. 100, hkl 1 1 1; 34.19 deg, rel. 24, hkl 0 2 0; 34.36 deg, rel. 44, hkl 0 1 3; 35.65 deg, rel. 20, hkl 0 2 1; 39.75 deg, rel. 12, hkl 0 2 2; 45.08 deg, rel. 28, hkl 2 0 0; 45.93 deg, rel. 18, hkl 1 2 2; 46.12 deg, rel. 12, hkl 1 0 4; 57.88 deg, rel. 17, hkl 2 1 3; 58.75 deg, rel. 15, hkl 2 2 1


Starting from DFT lattice parameters and positions (PBE), the powder diffraction line list of AcScAl2Si was calculated for copper Kα.
Intensities are scaled so that the largest is 100.

Cell and atoms:
abc: 4.3960 4.4293 11.8637
angles: 90.00 90.00 90.00
Space group Imm2 (No. 44)
Symmetry-distinct sites (fractional):
1 Ac 0.0000 0.0000 0.0000 [2 per cell]
2 Sc 0.0000 0.5000 0.7571 [2 per cell]
3 Al 0.0000 0.0000 0.6119 [2 per cell]
4 Al 0.0000 0.5000 0.2510 [2 per cell]
5 Si 0.0000 0.0000 0.3923 [2 per cell]

The 12 most intense peaks (2θ from 10° to 90°), sorted by position:
14.93 deg, rel. 40, hkl 0 0 2; 21.41 deg, rel. 45, hkl 0 1 1; 21.56 deg, rel. 47, hkl 1 0 1; 28.61 deg, rel. 31, hkl 1 1 0; 30.13 deg, rel. 19, hkl 0 0 4; 30.30 deg, rel. 41, hkl 0 1 3; 30.40 deg, rel. 38, hkl 1 0 3; 32.42 deg, rel. 100, hkl 1 1 2; 40.74 deg, rel. 18, hkl 0 2 0; 43.30 deg, rel. 37, hkl 1 0 5; 51.70 deg, rel. 26, hkl 1 2 3; 51.88 deg, rel. 19, hkl 2 1 3


Starting from DFT lattice parameters and positions (PBE), the powder diffraction line list of Ac3Ni2Ru was calculated for copper Kα.
Intensities are scaled so that the largest is 100.

Cell and atoms:
abc: 12.2682 4.1817 12.4693
angles: 90.00 90.00 90.00
Space group Pnma (No. 62)
Symmetry-distinct sites (fractional):
1 Ac 0.0617 0.2500 0.1239 [4 per cell]
2 Ac 0.1203 0.7500 0.5568 [4 per cell]
3 Ac 0.2085 0.2500 0.8077 [4 per cell]
4 Ni 0.0267 0.7500 0.3117 [4 per cell]
5 Ni 0.1888 0.7500 0.9847 [4 per cell]
6 Ru 0.1212 0.2500 0.3665 [4 per cell]

The 12 most intense peaks (2θ from 10° to 90°), sorted by position:
23.58 deg, rel. 34, hkl 1 1 1; 26.06 deg, rel. 47, hkl 3 0 2; 26.77 deg, rel. 48, hkl 2 1 1; 29.56 deg, rel. 100, hkl 1 0 4; 30.00 deg, rel. 45, hkl 4 0 1; 30.32 deg, rel. 98, hkl 0 1 3; 31.43 deg, rel. 31, hkl 3 1 1; 33.86 deg, rel. 68, hkl 3 1 2; 37.06 deg, rel. 34, hkl 4 1 1; 38.95 deg, rel. 60, hkl 2 0 5; 43.28 deg, rel. 52, hkl 0 2 0; 53.56 deg, rel. 31, hkl 2 0 7


Starting from DFT lattice parameters and positions (PBE), the powder diffraction line list of Ca5Mn2N6 was calculated for copper Kα.
Intensities are scaled so that the largest is 100.

Cell and atoms:
abc: 9.6796 11.3821 3.3473
angles: 90.00 90.00 90.00
Space group Pbam (No. 55)
Symmetry-distinct sites (fractional):
1 Ca 0.0000 0.0000 0.0000 [2 per cell]
2 Ca 0.0503 0.2518 0.0000 [4 per cell]
3 Ca 0.1741 0.5095 0.0000 [4 per cell]
4 Mn 0.2020 0.7219 0.5000 [4 per cell]
5 N 0.0512 0.6272 0.5000 [4 per cell]
6 N 0.1527 0.1093 0.5000 [4 per cell]
7 N 0.2015 0.8035 0.0000 [4 per cell]

The 12 most intense peaks (2θ from 10° to 90°), sorted by position:
15.57 deg, rel. 64, hkl 0 2 0; 18.08 deg, rel. 51, hkl 1 2 0; 30.99 deg, rel. 49, hkl 0 2 1; 31.44 deg, rel. 100, hkl 0 4 0; 36.25 deg, rel. 87, hkl 2 2 1; 38.02 deg, rel. 63, hkl 4 1 0; 39.60 deg, rel. 59, hkl 3 1 1; 40.49 deg, rel. 51, hkl 2 3 1; 41.66 deg, rel. 45, hkl 0 4 1; 44.40 deg, rel. 47, hkl 4 3 0; 45.83 deg, rel. 100, hkl 3 3 1; 54.85 deg, rel. 45, hkl 0 0 2


Starting from DFT lattice parameters and positions (PBE), the powder diffraction line list of Sr8P3I3N was calculated for copper Kα.
Intensities are scaled so that the largest is 100.

Cell and atoms:
abc: 8.8144 8.8144 23.6892
angles: 90.00 90.00 120.00
Space group R-3m (No. 166, hexagonal axes)
Symmetry-distinct sites (fractional):
1 Sr 0.0000 0.0000 0.2315 [6 per cell]
2 Sr 0.0240 0.5120 0.2277 [18 per cell]
3 P 0.0000 0.5000 0.5000 [9 per cell]
4 I 0.0000 0.5000 0.0000 [9 per cell]
5 N 0.0000 0.0000 0.5000 [3 per cell]

The 12 most intense peaks (2θ from 10° to 90°), sorted by position:
12.18 deg, rel. 16, hkl 1 0 1; 13.80 deg, rel. 8, hkl 0 1 2; 23.61 deg, rel. 16, hkl 0 2 1; 27.81 deg, rel. 100, hkl 0 2 4; 30.07 deg, rel. 34, hkl 2 0 5; 34.06 deg, rel. 14, hkl 0 0 9; 38.48 deg, rel. 23, hkl 2 0 8; 40.96 deg, rel. 39, hkl 2 2 0; 50.23 deg, rel. 18, hkl 4 0 4; 54.29 deg, rel. 21, hkl 2 2 9; 55.91 deg, rel. 11, hkl 0 2 13; 66.74 deg, rel. 14, hkl 2 4 4


Starting from DFT lattice parameters and positions (PBE), the powder diffraction line list of LiLa2Cd2 was calculated for copper Kα.
Intensities are scaled so that the largest is 100.

Cell and atoms:
abc: 15.4467 6.6541 5.5118
angles: 90.00 101.83 90.00
Space group C2/c (No. 15)
Symmetry-distinct sites (fractional):
1 Li 0.0000 0.1681 0.2500 [4 per cell]
2 La 0.1241 0.3638 0.8345 [8 per cell]
3 Cd 0.1813 0.1124 0.3719 [8 per cell]

The 12 most intense peaks (2θ from 10° to 90°), sorted by position:
11.71 deg, rel. 62, hkl 2 0 0; 23.54 deg, rel. 60, hkl 4 0 0; 31.59 deg, rel. 99, hkl 0 2 1; 32.53 deg, rel. 58, hkl 5 1 0; 32.89 deg, rel. 47, hkl 2 0 -2; 33.68 deg, rel. 29, hkl 5 1 -1; 35.01 deg, rel. 59, hkl 2 2 1; 36.75 deg, rel. 25, hkl 4 0 -2; 37.60 deg, rel. 100, hkl 2 0 2; 50.53 deg, rel. 15, hkl 7 1 1; 51.06 deg, rel. 17, hkl 5 3 0; 57.31 deg, rel. 28, hkl 2 2 -3


Starting from DFT lattice parameters and positions (PBE), the powder diffraction line list of LaPr6Mg was calculated for copper Kα.
Intensities are scaled so that the largest is 100.

Cell and atoms:
abc: 9.9132 9.9132 9.8352
angles: 90.00 90.00 120.00
Space group R-3 (No. 148, hexagonal axes)
Symmetry-distinct sites (fractional):
1 La 0.0000 0.0000 0.0000 [3 per cell]
2 Pr 0.0212 0.7502 0.7126 [18 per cell]
3 Mg 0.0000 0.0000 0.5000 [3 per cell]

The 12 most intense peaks (2θ from 10° to 90°), sorted by position:
17.90 deg, rel. 12, hkl 1 1 0; 27.20 deg, rel. 27, hkl 0 0 3; 27.58 deg, rel. 22, hkl 2 0 2; 28.98 deg, rel. 100, hkl 3 -1 1; 31.26 deg, rel. 37, hkl 3 0 0; 32.75 deg, rel. 48, hkl 2 -1 3; 33.08 deg, rel. 56, hkl 1 2 2; 41.90 deg, rel. 15, hkl 0 3 3; 46.15 deg, rel. 12, hkl 0 4 2; 47.06 deg, rel. 21, hkl 3 2 1; 59.39 deg, rel. 16, hkl 1 1 6; 60.81 deg, rel. 15, hkl 6 -1 1


Starting from DFT lattice parameters and positions (PBE), the powder diffraction line list of Li2PdF4 was calculated for copper Kα.
Intensities are scaled so that the largest is 100.

Cell and atoms:
abc: 5.5935 5.5935 11.1515
angles: 90.00 90.00 90.00
Space group I4_1/amd (No. 141, origin choice 2)
Symmetry-distinct sites (fractional):
1 Li 0.0000 0.0000 0.0000 [8 per cell]
2 Pd 0.0000 0.2500 0.3750 [4 per cell]
3 F 0.2447 0.0053 0.8750 [16 per cell]

The 12 most intense peaks (2θ from 10° to 90°), sorted by position:
17.74 deg, rel. 100, hkl 1 0 1; 27.65 deg, rel. 83, hkl 1 1 2; 28.84 deg, rel. 40, hkl 1 0 3; 32.11 deg, rel. 38, hkl 0 0 4; 36.82 deg, rel. 46, hkl 2 1 1; 43.64 deg, rel. 34, hkl 1 0 5; 45.89 deg, rel. 28, hkl 2 2 0; 54.42 deg, rel. 24, hkl 3 1 2; 54.56 deg, rel. 12, hkl 1 1 6; 55.15 deg, rel. 18, hkl 3 0 3; 57.10 deg, rel. 31, hkl 2 2 4; 76.16 deg, rel. 10, hkl 4 0 4


Starting from DFT lattice parameters and positions (PBE), the powder diffraction line list of La6TeRu3 was calculated for copper Kα.
Intensities are scaled so that the largest is 100.

Cell and atoms:
abc: 12.1219 4.2939 12.1237
angles: 90.00 107.88 90.00
Space group P2_1/m (No. 11)
Symmetry-distinct sites (fractional):
1 La 0.0368 0.2500 0.4014 [2 per cell]
2 La 0.1092 0.2500 0.9549 [2 per cell]
3 La 0.1974 0.7500 0.2621 [2 per cell]
4 La 0.2515 0.7500 0.7751 [2 per cell]
5 La 0.3529 0.2500 0.5576 [2 per cell]
6 La 0.4307 0.7500 0.0900 [2 per cell]
7 Te 0.4289 0.2500 0.3144 [2 per cell]
8 Ru 0.0209 0.2500 0.1705 [2 per cell]
9 Ru 0.1875 0.7500 0.5065 [2 per cell]
10 Ru 0.3440 0.2500 0.9003 [2 per cell]

The 12 most intense peaks (2θ from 10° to 90°), sorted by position:
25.87 deg, rel. 31, hkl 0 1 2; 27.62 deg, rel. 27, hkl 2 1 -2; 28.37 deg, rel. 100, hkl 2 1 1; 30.09 deg, rel. 100, hkl 2 0 -4; 30.38 deg, rel. 29, hkl 3 1 -1; 31.22 deg, rel. 80, hkl 3 1 0; 33.92 deg, rel. 43, hkl 1 1 3; 37.57 deg, rel. 54, hkl 4 1 0; 38.90 deg, rel. 43, hkl 4 1 -3; 40.38 deg, rel. 56, hkl 1 1 4; 42.09 deg, rel. 63, hkl 0 2 0; 52.60 deg, rel. 41, hkl 2 2 -4


Starting from DFT lattice parameters and positions (PBE), the powder diffraction line list of Ca2Ac3Os was calculated for copper Kα.
Intensities are scaled so that the largest is 100.

Cell and atoms:
abc: 10.4973 9.4820 9.5610
angles: 90.00 98.65 90.00
Space group C2/c (No. 15)
Symmetry-distinct sites (fractional):
1 Ca 0.1238 0.2138 0.1589 [8 per cell]
2 Ac 0.0000 0.2060 0.7500 [4 per cell]
3 Ac 0.1770 0.4513 0.5085 [8 per cell]
4 Os 0.0000 0.4844 0.2500 [4 per cell]

The 12 most intense peaks (2θ from 10° to 90°), sorted by position:
12.65 deg, rel. 100, hkl 1 1 0; 16.50 deg, rel. 33, hkl 1 1 1; 23.48 deg, rel. 43, hkl 2 0 -2; 26.24 deg, rel. 31, hkl 2 2 -1; 26.63 deg, rel. 32, hkl 0 2 2; 27.38 deg, rel. 74, hkl 2 0 2; 29.54 deg, rel. 39, hkl 1 3 0; 30.65 deg, rel. 35, hkl 1 3 -1; 31.12 deg, rel. 44, hkl 3 1 -2; 35.67 deg, rel. 26, hkl 3 1 2; 38.08 deg, rel. 25, hkl 0 0 4; 45.05 deg, rel. 24, hkl 3 3 2